Computed XRD peak list of Ho2BeVO6 for Cu Kα, 1.54184 Å, from a structure optimized by DFT (GGA+U).
Peak positions follow from Bragg's law for the DFT cell and can differ from measured ones.

Crystal structure
a b c (Å): 5.197 5.489 8.898
angles (deg): 90.00 125.36 90.00
Space group P2_1/c (No. 14)
Asymmetric unit:
Ho 0.231 0.068 0.249 x4
Be 0.000 0.000 0.500 x2
V 0.500 0.000 0.000 x2
O 0.145 0.203 0.951 x4
O 0.248 0.696 0.952 x4
O 0.338 0.023 0.747 x4

The 8 most intense peaks (15 to 90 degrees two-theta), in order of rising 2θ:
| 2θ (°) | intensity | h k l |
| --- | --- | --- |
| 23.6 | 1000 | 1 1 -1 |
| 24.5 | 600 | 0 0 2 |
| 34.2 | 870 | 1 1 1 |
| 34.4 | 860 | 1 1 -3 |
| 34.5 | 469 | 2 0 -2 |
| 35.0 | 413 | 0 2 1 |
| 48.2 | 319 | 2 2 -2 |
| 50.3 | 474 | 0 0 4 |